This entry pairs a crystal structure of PmPr2Sm3Y6 with its theoretical powder X-ray diffraction pattern. Radiation: a wavelength of 1.5418 Å. Structure: the GGA-PBE geometry in Alexandria.
No peak broadening, texture or thermal motion is included.

Cell: 6.2774 10.8692 11.8900 Å, 90.00 100.09 90.00°
Space group C2/m (No. 12)
Unique sites:
Pm1 0.0000 0.0000 0.0000
Pr1 0.0000 0.3334 0.0000
Sm1 0.0000 0.1667 0.5000
Sm2 0.0000 0.5000 0.5000
Y1 0.2491 0.0000 0.7484
Y2 0.2504 0.1665 0.2515

The 10 most intense peaks (2θ from 5° to 70°), by angle:
2θ = 15.14°, d = 5.853 Å, intensity 9; 2θ = 30.24°, d = 2.955 Å, intensity 100; 2θ = 30.55°, d = 2.927 Å, intensity 32; 2θ = 35.15°, d = 2.553 Å, intensity 67; 2θ = 50.36°, d = 1.812 Å, intensity 24; 2θ = 50.76°, d = 1.799 Å, intensity 23; 2θ = 59.88°, d = 1.545 Å, intensity 14; 2θ = 60.06°, d = 1.540 Å, intensity 28; 2θ = 60.41°, d = 1.532 Å, intensity 14; 2θ = 62.90°, d = 1.478 Å, intensity 12

---

This entry pairs a crystal structure of PmPrSmY with its theoretical powder X-ray diffraction pattern. Radiation: a wavelength of 1.5418 Å. Structure: the GGA-PBE geometry in Alexandria.
No peak broadening, texture or thermal motion is included.

Cell: 5.1590 5.1590 10.2830 Å, 90.00 90.00 90.00°
Space group I-4m2 (No. 119)
Unique sites:
Pm1 0.0000 0.0000 0.0000
Pr1 0.0000 0.5000 0.7500
Sm1 0.0000 0.0000 0.5000
Y1 0.0000 0.5000 0.2500

The 10 most intense peaks (2θ from 5° to 70°), by angle:
2θ = 17.25°, d = 5.142 Å, intensity 1; 2θ = 19.25°, d = 4.611 Å, intensity 3; 2θ = 24.40°, d = 3.648 Å, intensity 1; 2θ = 30.04°, d = 2.975 Å, intensity 100; 2θ = 34.78°, d = 2.580 Å, intensity 34; 2θ = 34.90°, d = 2.571 Å, intensity 17; 2θ = 50.07°, d = 1.822 Å, intensity 36; 2θ = 59.44°, d = 1.555 Å, intensity 29; 2θ = 59.60°, d = 1.551 Å, intensity 14; 2θ = 62.43°, d = 1.488 Å, intensity 12